[1]
Structure and computed powder XRD pattern of Ag3Te4Pd (DFT lattice parameters and positions (PBE); Cu Ka).
Intensities are scaled so that the largest is 100.

Principal peaks in the range 15° ≤ 2θ ≤ 90°, low angle first:
2θ = 20.8°, d 4.269, rel. 54
2θ = 21.9°, d 4.053, rel. 83
2θ = 26.8°, d 3.328, rel. 92
2θ = 35.8°, d 2.511, rel. 47
2θ = 39.2°, d 2.301, rel. 59
2θ = 41.6°, d 2.171, rel. 100

Atomic structure:
Lattice parameters (Å, degrees): 9.203 5.992 8.106 90.00 90.00 90.00
Space group Pmn2_1 (No. 31)
Inequivalent atoms, fractional coordinates:
Ag1 0.000 0.003 0.000 (multiplicity 2)
Ag2 0.232 0.308 0.501 (multiplicity 4)
Te1 0.000 0.094 0.337 (multiplicity 2)
Te2 0.000 0.629 0.788 (multiplicity 2)
Te3 0.229 0.267 0.848 (multiplicity 4)
Pd1 0.000 0.670 0.453 (multiplicity 2)

---

[2]
Structure and computed powder XRD pattern of Al2GeAu6 (DFT lattice parameters and positions (PBE); Cu Ka).
Intensities are scaled so that the largest is 100.

Principal peaks in the range 15° ≤ 2θ ≤ 90°, low angle first:
2θ = 30.5°, d 2.930, rel. 39
2θ = 31.3°, d 2.855, rel. 100
2θ = 38.8°, d 2.319, rel. 67
2θ = 41.1°, d 2.198, rel. 78
2θ = 41.3°, d 2.184, rel. 75
2θ = 45.4°, d 1.999, rel. 46

Atomic structure:
Lattice parameters (Å, degrees): 8.238 4.637 8.911 90.00 99.49 90.00
Space group C2/m (No. 12)
Inequivalent atoms, fractional coordinates:
Al1 0.242 0.000 0.350 (multiplicity 4)
Ge1 0.000 0.000 0.000 (multiplicity 2)
Au1 0.091 0.500 0.372 (multiplicity 4)
Au2 0.099 0.000 0.719 (multiplicity 4)
Au3 0.155 0.500 0.929 (multiplicity 4)

---

[3]
Structure and computed powder XRD pattern of YHF (DFT lattice parameters and positions (PBE); Cu Ka).
Intensities are scaled so that the largest is 100.

Principal peaks in the range 15° ≤ 2θ ≤ 90°, low angle first:
2θ = 28.5°, d 3.132, rel. 100
2θ = 32.5°, d 2.757, rel. 20
2θ = 46.6°, d 1.949, rel. 18
2θ = 47.8°, d 1.903, rel. 34
2θ = 55.5°, d 1.655, rel. 29
2θ = 57.6°, d 1.599, rel. 13

Atomic structure:
Lattice parameters (Å, degrees): 3.898 3.898 5.260 90.00 90.00 90.00
Space group P4_2/mmc (No. 131)
Inequivalent atoms, fractional coordinates:
Y1 0.000 0.500 0.000 (multiplicity 2)
H1 0.000 0.000 0.250 (multiplicity 2)
F1 0.500 0.500 0.250 (multiplicity 2)

---

[4]
Structure and computed powder XRD pattern of TaNb7 (DFT lattice parameters and positions (PBE); Cu Ka).
Intensities are scaled so that the largest is 100.

Principal peaks in the range 15° ≤ 2θ ≤ 90°, low angle first:
2θ = 20.1°, d 4.418, rel. 3
2θ = 27.7°, d 3.216, rel. 1
2θ = 38.4°, d 2.344, rel. 100
2θ = 55.4°, d 1.657, rel. 17
2θ = 69.5°, d 1.353, rel. 34
2θ = 82.3°, d 1.172, rel. 11

Atomic structure:
Lattice parameters (Å, degrees): 4.685 4.685 13.271 90.00 90.00 90.00
Space group I4/mmm (No. 139)
Inequivalent atoms, fractional coordinates:
Ta1 0.000 0.000 0.000 (multiplicity 2)
Nb1 0.000 0.000 0.249 (multiplicity 4)
Nb2 0.000 0.000 0.500 (multiplicity 2)
Nb3 0.000 0.500 0.125 (multiplicity 8)

---

[5]
Structure and computed powder XRD pattern of Pr4Tm3Te8 (DFT lattice parameters and positions (PBE); Cu Ka).
Intensities are scaled so that the largest is 100.

Principal peaks in the range 15° ≤ 2θ ≤ 90°, low angle first:
2θ = 23.1°, d 3.850, rel. 19
2θ = 23.8°, d 3.732, rel. 25
2θ = 27.7°, d 3.218, rel. 100
2θ = 34.9°, d 2.574, rel. 34
2θ = 37.7°, d 2.386, rel. 66
2θ = 41.4°, d 2.180, rel. 64

Atomic structure:
Lattice parameters (Å, degrees): 8.7183 8.7183 24.6288 90.00 90.00 120.00
Space group R-3m (No. 166, hexagonal axes)
Inequivalent atoms, fractional coordinates:
Pr1 0.0000 0.0000 0.0000 (multiplicity 3)
Pr2 0.0000 0.0000 0.1429 (multiplicity 6)
Pr3 0.0000 0.0000 0.5000 (multiplicity 3)
Tm1 0.0000 0.5000 0.0000 (multiplicity 9)
Te1 0.0000 0.0000 0.2684 (multiplicity 6)
Te2 0.0143 0.5072 0.2564 (multiplicity 18)

---

[6]
Structure and computed powder XRD pattern of Mg3Pd7 (DFT lattice parameters and positions (PBE); Cu Ka).
Intensities are scaled so that the largest is 100.

Principal peaks in the range 15° ≤ 2θ ≤ 90°, low angle first:
2θ = 39.2°, d 2.300, rel. 98
2θ = 39.4°, d 2.289, rel. 100
2θ = 44.4°, d 2.038, rel. 35
2θ = 44.8°, d 2.023, rel. 33
2θ = 47.7°, d 1.908, rel. 27
2θ = 67.2°, d 1.393, rel. 27

Atomic structure:
Lattice parameters (Å, degrees): 14.291 4.076 5.581 90.00 104.60 90.00
Space group C2/m (No. 12)
Inequivalent atoms, fractional coordinates:
Mg1 0.000 0.000 0.000 (multiplicity 2)
Mg2 0.193 0.000 0.622 (multiplicity 4)
Pd1 0.000 0.000 0.500 (multiplicity 2)
Pd2 0.098 0.500 0.817 (multiplicity 4)
Pd3 0.106 0.500 0.318 (multiplicity 4)
Pd4 0.203 0.000 0.120 (multiplicity 4)

---

[7]
Structure and computed powder XRD pattern of Ba4AuI (DFT lattice parameters and positions (PBE); Cu Ka).
Intensities are scaled so that the largest is 100.

Principal peaks in the range 15° ≤ 2θ ≤ 90°, low angle first:
2θ = 21.5°, d 4.133, rel. 23
2θ = 25.7°, d 3.462, rel. 52
2θ = 25.9°, d 3.443, rel. 100
2θ = 35.3°, d 2.543, rel. 37
2θ = 38.3°, d 2.351, rel. 57
2θ = 46.7°, d 1.946, rel. 20

Atomic structure:
Lattice parameters (Å, degrees): 8.144 4.704 9.090 90.00 107.87 90.00
Space group P2/m (No. 10)
Inequivalent atoms, fractional coordinates:
Ba1 0.235 0.000 0.210 (multiplicity 2)
Ba2 0.265 0.500 0.786 (multiplicity 2)
Au1 0.000 0.500 0.000 (multiplicity 1)
I1 0.000 0.000 0.500 (multiplicity 1)

---

[8]
Structure and computed powder XRD pattern of NdCo2H8 (DFT lattice parameters and positions (PBE); Cu Ka).
Intensities are scaled so that the largest is 100.

Principal peaks in the range 15° ≤ 2θ ≤ 90°, low angle first:
2θ = 22.9°, d 3.877, rel. 17
2θ = 30.8°, d 2.902, rel. 100
2θ = 40.4°, d 2.235, rel. 26
2θ = 51.5°, d 1.773, rel. 16
2θ = 59.0°, d 1.565, rel. 25
2θ = 67.5°, d 1.388, rel. 13

Atomic structure:
Lattice parameters (Å, degrees): 4.378 7.735 4.484 90.00 90.00 90.00
Space group Amm2 (No. 38)
Inequivalent atoms, fractional coordinates:
Nd1 0.000 0.000 0.000 (multiplicity 2)
Co1 0.500 0.172 0.453 (multiplicity 4)
H1 0.256 0.223 0.743 (multiplicity 8)
H2 0.267 0.000 0.493 (multiplicity 4)
H3 0.500 0.132 0.102 (multiplicity 4)

---

[9]
Structure and computed powder XRD pattern of Er3Cd2Pd6 (DFT lattice parameters and positions (PBE); Cu Ka).
Intensities are scaled so that the largest is 100.

Principal peaks in the range 15° ≤ 2θ ≤ 90°, low angle first:
2θ = 29.2°, d 3.061, rel. 18
2θ = 32.0°, d 2.794, rel. 27
2θ = 34.7°, d 2.587, rel. 18
2θ = 39.5°, d 2.281, rel. 100
2θ = 41.7°, d 2.164, rel. 16
2θ = 71.6°, d 1.317, rel. 31

Atomic structure:
Lattice parameters (Å, degrees): 9.679 9.679 9.679 90.00 90.00 90.00
Space group Im-3m (No. 229)
Inequivalent atoms, fractional coordinates:
Er1 0.000 0.000 0.304 (multiplicity 12)
Cd1 0.250 0.250 0.250 (multiplicity 8)
Pd1 0.000 0.345 0.345 (multiplicity 24)

---

[10]
Structure and computed powder XRD pattern of YMg14W (DFT lattice parameters and positions (PBE); Cu Ka).
Intensities are scaled so that the largest is 100.

Principal peaks in the range 15° ≤ 2θ ≤ 90°, low angle first:
2θ = 16.0°, d 5.544, rel. 65
2θ = 23.8°, d 3.744, rel. 47
2θ = 32.3°, d 2.772, rel. 32
2θ = 33.1°, d 2.708, rel. 21
2θ = 35.4°, d 2.538, rel. 23
2θ = 36.9°, d 2.433, rel. 100

Atomic structure:
Lattice parameters (Å, degrees): 6.4022 6.4022 10.1505 90.00 90.00 120.00
Space group P-6m2 (No. 187)
Inequivalent atoms, fractional coordinates:
Y1 0.0000 0.0000 0.0000 (multiplicity 1)
Mg1 0.0134 0.5067 0.0000 (multiplicity 3)
Mg2 0.1613 0.3227 0.2670 (multiplicity 6)
Mg3 0.5034 0.0068 0.5000 (multiplicity 3)
Mg4 0.6667 0.3333 0.2357 (multiplicity 2)
W1 0.0000 0.0000 0.5000 (multiplicity 1)

---

[11]
Structure and computed powder XRD pattern of Ca4Si2Hg5 (DFT lattice parameters and positions (PBE); Cu Ka).
Intensities are scaled so that the largest is 100.

Principal peaks in the range 15° ≤ 2θ ≤ 90°, low angle first:
2θ = 22.4°, d 3.972, rel. 100
2θ = 25.1°, d 3.546, rel. 38
2θ = 31.8°, d 2.818, rel. 37
2θ = 31.9°, d 2.804, rel. 51
2θ = 32.2°, d 2.781, rel. 83
2θ = 39.3°, d 2.292, rel. 51

Atomic structure:
Lattice parameters (Å, degrees): 7.818 3.972 9.132 90.00 91.87 90.00
Space group P2/m (No. 10)
Inequivalent atoms, fractional coordinates:
Ca1 0.200 0.000 0.351 (multiplicity 2)
Ca2 0.242 0.000 0.913 (multiplicity 2)
Si1 0.059 0.500 0.117 (multiplicity 2)
Hg1 0.142 0.500 0.628 (multiplicity 2)
Hg2 0.436 0.500 0.160 (multiplicity 2)
Hg3 0.500 0.500 0.500 (multiplicity 1)

---

[12]
Structure and computed powder XRD pattern of Al5Ga6 (DFT lattice parameters and positions (PBE); Cu Ka).
Intensities are scaled so that the largest is 100.

Principal peaks in the range 15° ≤ 2θ ≤ 90°, low angle first:
2θ = 31.1°, d 2.877, rel. 100
2θ = 36.5°, d 2.462, rel. 93
2θ = 37.1°, d 2.426, rel. 87
2θ = 38.4°, d 2.343, rel. 93
2θ = 38.6°, d 2.335, rel. 72
2θ = 42.4°, d 2.131, rel. 88

Atomic structure:
Lattice parameters (Å, degrees): 8.032 10.938 4.830 90.00 111.67 90.00
Space group C2/m (No. 12)
Inequivalent atoms, fractional coordinates:
Al1 0.000 0.000 0.000 (multiplicity 2)
Al2 0.000 0.135 0.500 (multiplicity 4)
Al3 0.000 0.275 0.000 (multiplicity 4)
Ga1 0.187 0.500 0.169 (multiplicity 4)
Ga2 0.193 0.360 0.659 (multiplicity 8)